Record 1
# NaHfNO
Calculated powder X-ray diffraction pattern, Cu Ka. Input: a cell relaxed with PBE.
No peak broadening, texture or thermal motion is included.

```
data_NaHfNO
_chemical_formula_sum 'Na2 Hf2 N2 O2'
_space_group_name_H-M_alt 'P m c 21'
_space_group_IT_number 26
_cell_length_a 3.413
_cell_length_b 6.516
_cell_length_c 5.689
_cell_angle_alpha 90.00
_cell_angle_beta 90.00
_cell_angle_gamma 90.00
loop_
_space_group_symop_operation_xyz
'x,y,z'
'-x,-y,z+1/2'
'-x,y,z'
'x,-y,z+1/2'
loop_
_atom_site_label
_atom_site_fract_x
_atom_site_fract_y
_atom_site_fract_z
Na1 0.000 0.154 0.000
Hf1 0.500 0.342 0.509
N1 0.000 0.200 0.419
O1 0.500 0.377 0.861
```

The 12 most intense peaks (10° ≤ 2θ ≤ 90°), in order of falling intensity:
20.73 deg, I = 100, hkl 0 1 1; 33.57 deg, I = 79, hkl 1 1 1; 13.59 deg, I = 62, hkl 0 1 0; 31.65 deg, I = 57, hkl 0 2 1; 31.45 deg, I = 43, hkl 0 0 2; 29.55 deg, I = 40, hkl 1 1 0; 26.11 deg, I = 39, hkl 1 0 0; 41.48 deg, I = 36, hkl 1 2 1; 49.76 deg, I = 27, hkl 1 3 0; 60.06 deg, I = 26, hkl 1 3 2; 57.36 deg, I = 24, hkl 1 1 3; 43.70 deg, I = 20, hkl 1 1 2

Record 2
# HfNbSi2N2
Calculated powder X-ray diffraction pattern, Cu Ka. Input: a cell relaxed with PBE.
No peak broadening, texture or thermal motion is included.

```
data_HfNbSi2N2
_chemical_formula_sum 'Hf1 Nb1 Si2 N2'
_space_group_name_H-M_alt 'P 4 m m'
_space_group_IT_number 99
_cell_length_a 3.217
_cell_length_b 3.217
_cell_length_c 7.394
_cell_angle_alpha 90.00
_cell_angle_beta 90.00
_cell_angle_gamma 90.00
loop_
_space_group_symop_operation_xyz
'x,y,z'
'-y,x,z'
'-x,-y,z'
'y,-x,z'
'-x,y,z'
'y,x,z'
'x,-y,z'
'-y,-x,z'
loop_
_atom_site_label
_atom_site_fract_x
_atom_site_fract_y
_atom_site_fract_z
Hf1 0.000 0.000 0.000
Nb1 0.500 0.500 0.653
Si1 0.000 0.500 0.348
N1 0.000 0.000 0.716
N2 0.500 0.500 0.953
```

The 12 most intense peaks (10° ≤ 2θ ≤ 90°), in order of falling intensity:
30.30 deg, I = 100, hkl 1 0 1; 11.97 deg, I = 48, hkl 0 0 1; 37.04 deg, I = 47, hkl 1 0 2; 41.53 deg, I = 39, hkl 1 1 1; 36.46 deg, I = 35, hkl 0 0 3; 39.62 deg, I = 28, hkl 1 1 0; 46.89 deg, I = 27, hkl 1 1 2; 66.17 deg, I = 22, hkl 2 1 1; 57.50 deg, I = 22, hkl 1 0 4; 69.82 deg, I = 20, hkl 2 0 3; 54.92 deg, I = 20, hkl 1 1 3; 57.27 deg, I = 20, hkl 2 0 0

Record 3
# Hf2Nb4Si3N3
Calculated powder X-ray diffraction pattern, Cu Ka. Input: a cell relaxed with PBE.
No peak broadening, texture or thermal motion is included.

```
data_Hf2Nb4Si3N3
_chemical_formula_sum 'Hf8 Nb16 Si12 N12'
_space_group_name_H-M_alt 'C 1 2/c 1'
_space_group_IT_number 15
_cell_length_a 9.603
_cell_length_b 5.579
_cell_length_c 13.087
_cell_angle_alpha 90.00
_cell_angle_beta 103.98
_cell_angle_gamma 90.00
loop_
_space_group_symop_operation_xyz
'x,y,z'
'-x,-y,-z'
'-x,y,-z+1/2'
'x,-y,z+1/2'
'x+1/2,y+1/2,z'
'-x+1/2,-y+1/2,-z'
'-x+1/2,y+1/2,-z+1/2'
'x+1/2,-y+1/2,z+1/2'
loop_
_atom_site_label
_atom_site_fract_x
_atom_site_fract_y
_atom_site_fract_z
Hf1 0.051 0.085 0.397
Nb1 0.113 0.425 0.589
Nb2 0.217 0.413 0.911
Si1 0.000 0.456 0.250
Si2 0.187 0.105 0.749
N1 0.076 0.228 0.000
N2 0.250 0.250 0.500
```

The 12 most intense peaks (10° ≤ 2θ ≤ 90°), in order of falling intensity:
38.70 deg, I = 100, hkl 3 1 2; 38.84 deg, I = 49, hkl 3 1 -4; 13.95 deg, I = 31, hkl 0 0 2; 33.03 deg, I = 28, hkl 3 1 0; 57.30 deg, I = 25, hkl 3 3 -1; 32.24 deg, I = 23, hkl 3 1 -1; 28.11 deg, I = 21, hkl 0 0 4; 42.72 deg, I = 19, hkl 0 0 6; 32.88 deg, I = 14, hkl 0 2 1; 60.92 deg, I = 12, hkl 3 1 6; 32.09 deg, I = 12, hkl 0 2 0; 54.43 deg, I = 12, hkl 3 1 5

Record 4
# Hf4Nb2Si3N3
Calculated powder X-ray diffraction pattern, Cu Ka. Input: a cell relaxed with PBE.
No peak broadening, texture or thermal motion is included.

```
data_Hf4Nb2Si3N3
_chemical_formula_sum 'Hf16 Nb8 Si12 N12'
_space_group_name_H-M_alt 'C 1 2/c 1'
_space_group_IT_number 15
_cell_length_a 9.584
_cell_length_b 5.556
_cell_length_c 13.429
_cell_angle_alpha 90.00
_cell_angle_beta 103.85
_cell_angle_gamma 90.00
loop_
_space_group_symop_operation_xyz
'x,y,z'
'-x,-y,-z'
'-x,y,-z+1/2'
'x,-y,z+1/2'
'x+1/2,y+1/2,z'
'-x+1/2,-y+1/2,-z'
'-x+1/2,y+1/2,-z+1/2'
'x+1/2,-y+1/2,z+1/2'
loop_
_atom_site_label
_atom_site_fract_x
_atom_site_fract_y
_atom_site_fract_z
Hf1 0.116 0.087 0.099
Hf2 0.219 0.081 0.401
Nb1 0.051 0.420 0.912
Si1 0.000 0.124 0.750
Si2 0.146 0.437 0.251
N1 0.090 0.231 0.500
N2 0.250 0.250 0.000
```

The 12 most intense peaks (10° ≤ 2θ ≤ 90°), in order of falling intensity:
38.49 deg, I = 100, hkl 0 2 3; 38.57 deg, I = 50, hkl 3 1 2; 13.58 deg, I = 33, hkl 0 0 2; 33.01 deg, I = 32, hkl 3 1 -2; 27.36 deg, I = 27, hkl 0 0 4; 32.32 deg, I = 24, hkl 3 1 -1; 57.52 deg, I = 24, hkl 3 3 -1; 41.56 deg, I = 20, hkl 0 0 6; 33.08 deg, I = 16, hkl 3 1 0; 59.79 deg, I = 16, hkl 0 2 7; 71.51 deg, I = 16, hkl 6 2 1; 73.42 deg, I = 15, hkl 3 3 5

Record 5
# Hf4Ni2PN
Calculated powder X-ray diffraction pattern, Cu Ka. Input: a cell relaxed with PBE.
No peak broadening, texture or thermal motion is included.

```
data_Hf4Ni2PN
_chemical_formula_sum 'Hf4 Ni2 P1 N1'
_space_group_name_H-M_alt 'P 1 m 1'
_space_group_IT_number 6
_cell_length_a 5.265
_cell_length_b 3.371
_cell_length_c 7.365
_cell_angle_alpha 90.00
_cell_angle_beta 106.98
_cell_angle_gamma 90.00
loop_
_space_group_symop_operation_xyz
'x,y,z'
'x,-y,z'
loop_
_atom_site_label
_atom_site_fract_x
_atom_site_fract_y
_atom_site_fract_z
Hf1 0.000 0.000 0.000
Hf2 0.054 0.000 0.429
Hf3 0.556 0.500 0.119
Hf4 0.646 0.500 0.634
Ni1 0.157 0.500 0.750
Ni2 0.504 0.000 0.362
P1 0.458 0.000 0.837
N1 0.989 0.500 0.204
```

The 12 most intense peaks (10° ≤ 2θ ≤ 90°), in order of falling intensity:
36.91 deg, I = 100, hkl 0 1 2; 31.95 deg, I = 83, hkl 1 1 0; 37.64 deg, I = 56, hkl 1 1 -2; 35.66 deg, I = 50, hkl 2 0 0; 35.10 deg, I = 44, hkl 1 0 2; 54.43 deg, I = 27, hkl 0 2 0; 37.35 deg, I = 25, hkl 2 0 -2; 46.34 deg, I = 24, hkl 2 1 -2; 34.14 deg, I = 22, hkl 2 0 -1; 44.46 deg, I = 22, hkl 1 1 2; 26.30 deg, I = 22, hkl 1 0 -2; 49.60 deg, I = 21, hkl 1 0 -4

Record 6
# Hf3Ni2Pd2N4
Calculated powder X-ray diffraction pattern, Cu Ka. Input: a cell relaxed with PBE.
No peak broadening, texture or thermal motion is included.

```
data_Hf3Ni2Pd2N4
_chemical_formula_sum 'Hf3 Ni2 Pd2 N4'
_space_group_name_H-M_alt 'P 1 m 1'
_space_group_IT_number 6
_cell_length_a 5.892
_cell_length_b 3.067
_cell_length_c 8.186
_cell_angle_alpha 90.00
_cell_angle_beta 100.08
_cell_angle_gamma 90.00
loop_
_space_group_symop_operation_xyz
'x,y,z'
'x,-y,z'
loop_
_atom_site_label
_atom_site_fract_x
_atom_site_fract_y
_atom_site_fract_z
Hf1 0.000 0.000 0.000
Hf2 0.140 0.500 0.407
Hf3 0.458 0.000 0.867
Ni1 0.115 0.500 0.706
Ni2 0.797 0.000 0.689
Pd1 0.530 0.000 0.425
Pd2 0.676 0.500 0.189
N1 0.252 0.500 0.963
N2 0.259 0.000 0.616
N3 0.739 0.500 0.881
N4 0.999 0.000 0.251
```

The 12 most intense peaks (10° ≤ 2θ ≤ 90°), in order of falling intensity:
42.92 deg, I = 100, hkl 2 1 0; 30.86 deg, I = 85, hkl 2 0 -1; 29.11 deg, I = 73, hkl 1 0 2; 31.20 deg, I = 69, hkl 0 1 1; 38.47 deg, I = 65, hkl 1 1 -2; 34.24 deg, I = 65, hkl 1 0 -3; 49.69 deg, I = 63, hkl 1 1 3; 35.79 deg, I = 54, hkl 1 1 1; 22.06 deg, I = 53, hkl 0 0 2; 34.01 deg, I = 50, hkl 1 1 -1; 45.99 deg, I = 46, hkl 2 1 -2; 54.47 deg, I = 41, hkl 1 1 -4

Record 7
# HfZr2Ni2Pd2N4
Calculated powder X-ray diffraction pattern, Cu Ka. Input: a cell relaxed with PBE.
No peak broadening, texture or thermal motion is included.

```
data_HfZr2Ni2Pd2N4
_chemical_formula_sum 'Hf1 Zr2 Ni2 Pd2 N4'
_space_group_name_H-M_alt 'P 1 m 1'
_space_group_IT_number 6
_cell_length_a 5.945
_cell_length_b 3.090
_cell_length_c 8.185
_cell_angle_alpha 90.00
_cell_angle_beta 100.39
_cell_angle_gamma 90.00
loop_
_space_group_symop_operation_xyz
'x,y,z'
'x,-y,z'
loop_
_atom_site_label
_atom_site_fract_x
_atom_site_fract_y
_atom_site_fract_z
Hf1 0.000 0.000 0.000
Zr1 0.352 0.500 0.455
Zr2 0.897 0.500 0.595
Ni1 0.008 0.000 0.304
Ni2 0.688 0.500 0.282
Pd1 0.391 0.500 0.023
Pd2 0.548 0.000 0.790
N1 0.135 0.500 0.204
N2 0.151 0.000 0.559
N3 0.640 0.000 0.450
N4 0.860 0.500 0.843
```

The 12 most intense peaks (10° ≤ 2θ ≤ 90°), in order of falling intensity:
33.74 deg, I = 100, hkl 1 1 -1; 42.57 deg, I = 89, hkl 2 1 0; 30.58 deg, I = 82, hkl 2 0 0; 49.58 deg, I = 80, hkl 1 1 3; 34.15 deg, I = 75, hkl 1 0 -3; 38.22 deg, I = 69, hkl 1 1 -2; 45.60 deg, I = 64, hkl 2 1 -2; 29.11 deg, I = 52, hkl 1 0 2; 31.00 deg, I = 50, hkl 0 1 1; 35.58 deg, I = 47, hkl 1 1 1; 59.85 deg, I = 43, hkl 0 2 0; 22.08 deg, I = 41, hkl 0 0 2

Record 8
# Hf2ZrNi4N4
Calculated powder X-ray diffraction pattern, Cu Ka. Input: a cell relaxed with PBE.
No peak broadening, texture or thermal motion is included.

```
data_Hf2ZrNi4N4
_chemical_formula_sum 'Hf2 Zr1 Ni4 N4'
_space_group_name_H-M_alt 'P 1 m 1'
_space_group_IT_number 6
_cell_length_a 6.305
_cell_length_b 3.116
_cell_length_c 6.801
_cell_angle_alpha 90.00
_cell_angle_beta 97.02
_cell_angle_gamma 90.00
loop_
_space_group_symop_operation_xyz
'x,y,z'
'x,-y,z'
loop_
_atom_site_label
_atom_site_fract_x
_atom_site_fract_y
_atom_site_fract_z
Hf1 0.000 0.000 0.000
Hf2 0.491 0.000 0.021
Zr1 0.720 0.500 0.626
Ni1 0.022 0.000 0.422
Ni2 0.183 0.500 0.703
Ni3 0.394 0.000 0.512
Ni4 0.769 0.500 0.250
N1 0.247 0.500 0.008
N2 0.598 0.000 0.336
N3 0.731 0.500 0.955
N4 0.965 0.000 0.687
```

The 12 most intense peaks (10° ≤ 2θ ≤ 90°), in order of falling intensity:
40.88 deg, I = 100, hkl 2 1 0; 39.36 deg, I = 64, hkl 0 1 2; 26.41 deg, I = 40, hkl 0 0 2; 13.12 deg, I = 37, hkl 0 0 1; 31.63 deg, I = 34, hkl 0 1 1; 36.70 deg, I = 30, hkl 2 0 -2; 32.99 deg, I = 26, hkl 2 0 1; 28.50 deg, I = 22, hkl 2 0 0; 41.69 deg, I = 22, hkl 2 0 2; 41.94 deg, I = 21, hkl 2 1 -1; 40.07 deg, I = 19, hkl 0 0 3; 59.32 deg, I = 18, hkl 0 2 0

Record 9
# RbHfNO
Calculated powder X-ray diffraction pattern, Cu Ka. Input: a cell relaxed with PBE.
No peak broadening, texture or thermal motion is included.

```
data_RbHfNO
_chemical_formula_sum 'Rb2 Hf2 N2 O2'
_space_group_name_H-M_alt 'P m c 21'
_space_group_IT_number 26
_cell_length_a 3.570
_cell_length_b 7.037
_cell_length_c 6.375
_cell_angle_alpha 90.00
_cell_angle_beta 90.00
_cell_angle_gamma 90.00
loop_
_space_group_symop_operation_xyz
'x,y,z'
'-x,-y,z+1/2'
'-x,y,z'
'x,-y,z+1/2'
loop_
_atom_site_label
_atom_site_fract_x
_atom_site_fract_y
_atom_site_fract_z
Rb1 0.000 0.218 0.000
Hf1 0.500 0.333 0.498
N1 0.500 0.486 0.760
O1 0.000 0.188 0.488
```

The 12 most intense peaks (10° ≤ 2θ ≤ 90°), in order of falling intensity:
31.41 deg, I = 100, hkl 1 1 1; 28.00 deg, I = 70, hkl 0 0 2; 28.99 deg, I = 38, hkl 0 2 1; 54.99 deg, I = 29, hkl 1 3 2; 12.58 deg, I = 27, hkl 0 1 0; 51.72 deg, I = 25, hkl 1 1 3; 18.78 deg, I = 25, hkl 0 1 1; 25.31 deg, I = 25, hkl 0 2 0; 38.10 deg, I = 22, hkl 0 2 2; 38.60 deg, I = 20, hkl 1 2 1; 46.31 deg, I = 18, hkl 1 3 0; 57.89 deg, I = 12, hkl 0 0 4

Record 10
# HfSnNO
Calculated powder X-ray diffraction pattern, Cu Ka. Input: a cell relaxed with PBE.
No peak broadening, texture or thermal motion is included.

```
data_HfSnNO
_chemical_formula_sum 'Hf4 Sn4 N4 O4'
_space_group_name_H-M_alt 'P c a 21'
_space_group_IT_number 29
_cell_length_a 6.384
_cell_length_b 9.624
_cell_length_c 5.702
_cell_angle_alpha 90.00
_cell_angle_beta 90.00
_cell_angle_gamma 90.00
loop_
_space_group_symop_operation_xyz
'x,y,z'
'-x,-y,z+1/2'
'-x+1/2,y,z+1/2'
'x+1/2,-y,z'
loop_
_atom_site_label
_atom_site_fract_x
_atom_site_fract_y
_atom_site_fract_z
Hf1 0.093 0.086 0.000
Sn1 0.114 0.487 0.057
N1 0.134 0.032 0.657
O1 0.053 0.283 0.056
```

The 12 most intense peaks (10° ≤ 2θ ≤ 90°), in order of falling intensity:
18.44 deg, I = 100, hkl 0 2 0; 32.14 deg, I = 100, hkl 2 0 1; 31.38 deg, I = 59, hkl 0 0 2; 22.86 deg, I = 57, hkl 1 1 1; 37.30 deg, I = 53, hkl 2 2 1; 27.99 deg, I = 51, hkl 1 2 1; 35.04 deg, I = 47, hkl 1 3 1; 58.26 deg, I = 45, hkl 2 5 1; 57.79 deg, I = 29, hkl 0 5 2; 36.64 deg, I = 28, hkl 0 2 2; 16.66 deg, I = 26, hkl 1 1 0; 31.20 deg, I = 19, hkl 1 3 0

Record 11
# HfTlNO
Calculated powder X-ray diffraction pattern, Cu Ka. Input: a cell relaxed with PBE.
No peak broadening, texture or thermal motion is included.

```
data_HfTlNO
_chemical_formula_sum 'Hf4 Tl4 N4 O4'
_space_group_name_H-M_alt 'P b c m'
_space_group_IT_number 57
_cell_length_a 8.138
_cell_length_b 5.770
_cell_length_c 5.761
_cell_angle_alpha 90.00
_cell_angle_beta 90.00
_cell_angle_gamma 90.00
loop_
_space_group_symop_operation_xyz
'x,y,z'
'-x,-y,-z'
'-x,-y,z+1/2'
'x,y,-z+1/2'
'x,-y+1/2,-z'
'-x,y+1/2,z'
'-x,y+1/2,-z+1/2'
'x,-y+1/2,z+1/2'
loop_
_atom_site_label
_atom_site_fract_x
_atom_site_fract_y
_atom_site_fract_z
Hf1 0.088 0.002 0.250
Tl1 0.363 0.000 0.750
N1 0.002 0.750 0.000
O1 0.324 0.011 0.250
```

The 12 most intense peaks (10° ≤ 2θ ≤ 90°), in order of falling intensity:
31.04 deg, I = 100, hkl 0 2 0; 55.21 deg, I = 31, hkl 2 3 1; 44.46 deg, I = 21, hkl 0 2 2; 73.46 deg, I = 12, hkl 0 2 4; 64.73 deg, I = 8, hkl 0 0 4; 61.32 deg, I = 5, hkl 5 1 1; 55.28 deg, I = 5, hkl 4 0 2; 78.83 deg, I = 5, hkl 5 3 1; 45.94 deg, I = 5, hkl 3 2 0; 33.02 deg, I = 4, hkl 3 0 0; 56.47 deg, I = 3, hkl 3 2 2; 64.61 deg, I = 3, hkl 0 4 0

Record 12
# HfZnNO
Calculated powder X-ray diffraction pattern, Cu Ka. Input: a cell relaxed with PBE.
No peak broadening, texture or thermal motion is included.

```
data_HfZnNO
_chemical_formula_sum 'Hf2 Zn2 N2 O2'
_space_group_name_H-M_alt 'P m c 21'
_space_group_IT_number 26
_cell_length_a 3.429
_cell_length_b 5.604
_cell_length_c 5.925
_cell_angle_alpha 90.00
_cell_angle_beta 90.00
_cell_angle_gamma 90.00
loop_
_space_group_symop_operation_xyz
'x,y,z'
'-x,-y,z+1/2'
'-x,y,z'
'x,-y,z+1/2'
loop_
_atom_site_label
_atom_site_fract_x
_atom_site_fract_y
_atom_site_fract_z
Hf1 0.000 0.157 0.000
Zn1 0.500 0.334 0.422
N1 0.500 0.347 0.067
O1 0.000 0.157 0.656
```

The 12 most intense peaks (10° ≤ 2θ ≤ 90°), in order of falling intensity:
34.19 deg, I = 100, hkl 1 1 1; 35.44 deg, I = 48, hkl 0 2 1; 30.17 deg, I = 44, hkl 0 0 2; 30.56 deg, I = 40, hkl 1 1 0; 21.83 deg, I = 38, hkl 0 1 1; 56.06 deg, I = 24, hkl 1 3 0; 64.99 deg, I = 22, hkl 1 3 2; 44.48 deg, I = 21, hkl 1 2 1; 56.20 deg, I = 20, hkl 1 1 3; 43.48 deg, I = 19, hkl 1 1 2; 63.70 deg, I = 17, hkl 1 2 3; 65.77 deg, I = 16, hkl 2 2 1